Structure and calculated X-ray powder pattern of CeMn2Ge2 (a structure optimized by DFT (GGA-PBE); copper Kα).
Neutral-atom scattering factors, no anomalous dispersion.

Largest 10 diffraction maxima, most intense first, 15° ≤ 2θ ≤ 90°:
| h k l | Position (°2θ) | intensity |
| --- | --- | --- |
| 1 0 3 | 33.5 | 100.0 |
| 1 1 2 | 35.9 | 98.4 |
| 2 0 0 | 45.4 | 60.0 |
| 1 0 5 | 47.8 | 43.2 |
| 2 1 3 | 57.6 | 41.6 |
| 1 1 0 | 31.7 | 32.1 |
| 2 1 5 | 68.0 | 29.5 |
| 3 1 2 | 77.6 | 19.0 |
| 2 2 0 | 66.2 | 18.7 |
| 2 0 8 | 87.0 | 17.4 |

Cell and atoms:
a = 3.994 Å, b = 3.994 Å, c = 10.828 Å
α = 90.00°, β = 90.00°, γ = 90.00°
Fractional positions:
1 Ce 0.000 0.000 0.000
2 Ce 0.500 0.500 0.500
3 Mn 0.000 0.500 0.250
4 Mn 0.000 0.500 0.750
5 Mn 0.500 0.000 0.250
6 Mn 0.500 0.000 0.750
7 Ge 0.000 0.000 0.379
8 Ge 0.000 0.000 0.621
9 Ge 0.500 0.500 0.121
10 Ge 0.500 0.500 0.879

Structure and calculated X-ray powder pattern of AlSb3F15 (a structure optimized by DFT (GGA-PBE); copper Kα).
Neutral-atom scattering factors, no anomalous dispersion.

Largest 10 diffraction maxima, most intense first, 15° ≤ 2θ ≤ 90°:
| h k l | Position (°2θ) | intensity |
| --- | --- | --- |
| 1 0 0 | 15.5 | 100.0 |
| 1 2 0 | 22.6 | 81.3 |
| 0 2 0 | 16.3 | 52.3 |
| 0 0 3 | 26.3 | 32.9 |
| 1 0 -3 | 27.0 | 22.1 |
| 0 3 1 | 26.1 | 19.8 |
| 1 2 -3 | 31.7 | 19.3 |
| 0 2 3 | 31.1 | 16.2 |
| 1 1 -1 | 17.8 | 14.4 |
| 1 1 1 | 21.3 | 12.9 |

Cell and atoms:
a = 5.907 Å, b = 10.868 Å, c = 10.505 Å
α = 90.00°, β = 104.45°, γ = 90.00°
Fractional positions:
1 Al 0.023 0.250 0.260
2 Al 0.977 0.750 0.740
3 Sb 0.443 0.557 0.337
4 Sb 0.443 0.943 0.337
5 Sb 0.500 0.000 0.000
6 Sb 0.500 0.500 0.000
7 Sb 0.557 0.057 0.663
8 Sb 0.557 0.443 0.663
9 F 0.090 0.750 0.902
10 F 0.146 0.750 0.635
11 F 0.199 0.118 0.296
12 F 0.199 0.382 0.296
13 F 0.214 0.087 0.958
14 F 0.214 0.413 0.958
15 F 0.241 0.114 0.630
16 F 0.241 0.386 0.630
17 F 0.346 0.750 0.323
18 F 0.368 0.619 0.101
19 F 0.368 0.881 0.101
20 F 0.390 0.584 0.525
21 F 0.390 0.916 0.525
22 F 0.411 0.581 0.828
23 F 0.411 0.919 0.828
24 F 0.589 0.081 0.172
25 F 0.589 0.419 0.172
26 F 0.610 0.084 0.475
27 F 0.610 0.416 0.475
28 F 0.632 0.119 0.899
29 F 0.632 0.381 0.899
30 F 0.654 0.250 0.677
31 F 0.759 0.614 0.370
32 F 0.759 0.886 0.370
33 F 0.786 0.587 0.042
34 F 0.786 0.913 0.042
35 F 0.801 0.618 0.704
36 F 0.801 0.882 0.704
37 F 0.854 0.250 0.365
38 F 0.910 0.250 0.098

Structure and calculated X-ray powder pattern of Al2O3 (a structure optimized by DFT (GGA-PBE); copper Kα).
Neutral-atom scattering factors, no anomalous dispersion.

Largest 10 diffraction maxima, most intense first, 15° ≤ 2θ ≤ 90°:
| h k l | Position (°2θ) | intensity |
| --- | --- | --- |
| 0 1 -1 | 19.4 | 100.0 |
| 0 2 4 | 44.7 | 80.4 |
| 4 2 0 | 66.1 | 76.9 |
| 2 0 4 | 45.7 | 76.0 |
| 2 2 -4 | 46.3 | 74.5 |
| 2 1 -3 | 37.6 | 44.7 |
| 2 1 3 | 37.3 | 41.3 |
| 1 0 4 | 32.1 | 39.2 |
| 0 1 5 | 37.1 | 39.0 |
| 2 2 8 | 65.9 | 38.0 |

Cell and atoms:
a = 5.655 Å, b = 5.658 Å, c = 13.642 Å
α = 87.83°, β = 89.35°, γ = 60.36°
Fractional positions:
1 Al 0.000 0.000 0.000
2 Al 0.002 0.477 0.128
3 Al 0.151 0.174 0.788
4 Al 0.163 0.690 0.675
5 Al 0.175 0.664 0.295
6 Al 0.317 0.869 0.466
7 Al 0.325 0.353 0.948
8 Al 0.500 0.010 0.628
9 Al 0.504 0.983 0.127
10 Al 0.513 0.488 0.123
11 Al 0.671 0.668 0.899
12 Al 0.672 0.167 0.318
13 Al 0.682 0.170 0.790
14 Al 0.694 0.638 0.301
15 Al 0.838 0.311 0.581
16 Al 0.874 0.785 0.472
17 O 0.001 0.526 0.371
18 O 0.013 0.965 0.372
19 O 0.020 0.473 0.878
20 O 0.181 0.168 0.051
21 O 0.181 0.638 0.045
22 O 0.181 0.682 0.542
23 O 0.186 0.155 0.543
24 O 0.329 0.870 0.712
25 O 0.344 0.325 0.713
26 O 0.348 0.328 0.203
27 O 0.371 0.790 0.204
28 O 0.486 0.030 0.878
29 O 0.498 0.503 0.364
30 O 0.515 0.475 0.879
31 O 0.539 0.954 0.373
32 O 0.651 0.167 0.049
33 O 0.659 0.674 0.539
34 O 0.675 0.661 0.048
35 O 0.689 0.120 0.538
36 O 0.812 0.866 0.712
37 O 0.814 0.343 0.210
38 O 0.838 0.326 0.712
39 O 0.838 0.800 0.206
40 O 0.993 0.018 0.874